Entry 1:
The following is a simulated PXRD pattern of BiP2O7. It was derived from a DFT-relaxed cell (GGA-PBE, the Materials Project), using CuKα.
No peak broadening, texture or thermal motion is included.

Peak list (10 most intense, 10° ≤ 2θ ≤ 80°, in order of rising 2θ)
2theta, Rel. int., index
14.27, 77, 0 0 2
17.57, 17, 0 1 2
18.31, 34, 1 0 0
18.45, 22, 1 0 -2
20.48, 33, 0 2 0
21.12, 18, 1 1 -2
21.71, 17, 0 2 1
27.63, 100, 1 0 -4
29.23, 25, 1 1 2
42.32, 20, 0 4 1

```
data_BiP2O7
_chemical_formula_sum 'Bi4 P8 O28'
_cell_length_a 5.240
_cell_length_b 8.672
_cell_length_c 13.428
_cell_angle_alpha 90.00
_cell_angle_beta 112.38
_cell_angle_gamma 90.00
_space_group_name_H-M_alt 'P 1 21/c 1'
_space_group_IT_number 14
loop_
_space_group_symop_operation_xyz
'x,y,z'
'-x,-y,-z'
'-x,y+1/2,-z+1/2'
'x,-y+1/2,z+1/2'
loop_
_atom_site_label
_atom_site_fract_x
_atom_site_fract_y
_atom_site_fract_z
Bi1 0.081 0.200 0.272
P1 0.206 0.713 0.021
P2 0.395 0.538 0.665
O1 0.039 0.169 0.449
O2 0.147 0.688 0.902
O3 0.257 0.625 0.729
O4 0.268 0.603 0.542
O5 0.288 0.066 0.795
O6 0.335 0.134 0.162
O7 0.464 0.627 0.096
```

***

Entry 2:
The following is a simulated PXRD pattern of Bi3P3O14. It was derived from a DFT-relaxed cell (GGA-PBE, the Materials Project), using CuKα.
No peak broadening, texture or thermal motion is included.

Peak list (10 most intense, 10° ≤ 2θ ≤ 80°, in order of rising 2θ)
2theta, Rel. int., index
14.43, 48, 1 1 0
14.59, 24, 2 0 0
19.88, 100, 1 1 -1
20.05, 26, 2 0 1
25.32, 24, 3 1 0
29.09, 79, 2 2 0
29.43, 36, 4 0 0
31.09, 91, 1 1 2
41.58, 54, 0 0 3
48.02, 23, 1 3 -2

```
data_Bi3P3O14
_chemical_formula_sum 'Bi6 P6 O28'
_cell_length_a 12.141
_cell_length_b 7.115
_cell_length_c 6.515
_cell_angle_alpha 90.00
_cell_angle_beta 90.31
_cell_angle_gamma 90.00
_space_group_name_H-M_alt 'C 1 2 1'
_space_group_IT_number 5
loop_
_space_group_symop_operation_xyz
'x,y,z'
'-x,y,-z'
'x+1/2,y+1/2,z'
'-x+1/2,y+1/2,-z'
loop_
_atom_site_label
_atom_site_fract_x
_atom_site_fract_y
_atom_site_fract_z
Bi1 0.000 0.000 0.000
Bi2 0.235 0.709 0.664
P1 0.000 0.037 0.500
P2 0.218 0.689 0.166
O1 0.054 0.505 0.754
O2 0.063 0.915 0.662
O3 0.079 0.158 0.369
O4 0.115 0.747 0.038
O5 0.190 0.156 0.996
O6 0.196 0.512 0.299
O7 0.249 0.846 0.324
```